Record 1
Diffraction record for AlH3O3. The PXRD pattern is calculated, not measured: it uses the GGA-PBE geometry in Alexandria and CuKα.

Top 10 peaks for 2θ from 15° to 90°, in order of falling intensity:
2theta	intensity	index
18.3	100	0 2 0
22.2	32	1 1 1
36.5	31	1 1 -3
45.4	29	1 3 -3
52.2	27	2 4 0
22.1	24	1 1 -1
40.0	21	1 2 -3
52.3	17	1 4 3
36.7	15	1 1 3
63.5	13	3 0 3

a b c (Å): 5.0954 9.6702 8.7953
angles (deg): 90.00 90.40 90.00
Element x y z (fractional)
Al 0.0014 0.0000 0.4840
Al 0.0442 0.9995 0.1532
Al 0.4568 0.5001 0.0145
Al 0.4969 0.0008 0.6502
Al 0.5031 0.5008 0.3498
Al 0.5432 0.0001 0.9855
Al 0.9558 0.4995 0.8468
Al 0.9986 0.5000 0.5160
H 0.0826 0.3965 0.2673
H 0.1511 0.0971 0.8988
H 0.1568 0.2053 0.3354
H 0.1655 0.2065 0.6443
H 0.1675 0.6225 0.2203
H 0.1720 0.2957 0.9987
H 0.2027 0.6998 0.9285
H 0.3134 0.3988 0.7040
H 0.3127 0.7930 0.5028
H 0.3753 0.8008 0.1591
H 0.4159 0.7990 0.8141
H 0.4353 0.6035 0.5971
H 0.5647 0.1035 0.4029
H 0.5841 0.2990 0.1859
H 0.6247 0.3008 0.8409
H 0.6873 0.2930 0.4972
H 0.6866 0.8988 0.2960
H 0.7973 0.1998 0.0715
H 0.8280 0.7957 0.0013
H 0.8325 0.1225 0.7797
H 0.8345 0.7065 0.3557
H 0.8432 0.7053 0.6646
H 0.8489 0.5971 0.1012
H 0.9174 0.8965 0.7327
O 0.1229 0.3929 0.6862
O 0.1446 0.3970 0.0014
O 0.1579 0.1038 0.3250
O 0.1698 0.1044 0.6455
O 0.1808 0.3929 0.3635
O 0.2276 0.1106 0.0001
O 0.2643 0.6163 0.8783
O 0.3108 0.8950 0.5085
O 0.3252 0.6058 0.5049
O 0.3526 0.6168 0.1913
O 0.3643 0.9018 0.1423
O 0.3927 0.8988 0.8220
O 0.6073 0.3988 0.1780
O 0.6357 0.4018 0.8577
O 0.6474 0.1168 0.8087
O 0.6748 0.1058 0.4951
O 0.6892 0.3950 0.4915
O 0.7357 0.1163 0.1217
O 0.7724 0.6106 0.9999
O 0.8192 0.8929 0.6365
O 0.8302 0.6044 0.3545
O 0.8421 0.6038 0.6750
O 0.8554 0.8970 0.9986
O 0.8771 0.8929 0.3138

---

Record 2
Diffraction record for AlH3O3. The PXRD pattern is calculated, not measured: it uses the GGA-PBE geometry in Alexandria and CuKα.

Top 10 peaks for 2θ from 15° to 90°, in order of falling intensity:
2theta	intensity	index
18.8	100	0 2 0
22.3	61	1 1 1
40.4	56	1 2 3
45.9	32	1 3 3
20.2	26	0 0 2
61.2	20	1 5 3
64.2	18	3 1 3
52.9	17	2 4 0
36.5	16	2 1 0
45.8	14	2 3 0

a b c (Å): 5.0931 9.4459 8.7775
angles (deg): 90.00 90.00 90.00
Element x y z (fractional)
Al 0.0340 0.0135 0.1651
Al 0.0340 0.4865 0.6651
Al 0.4660 0.5135 0.1651
Al 0.4660 0.9865 0.6651
Al 0.5340 0.0135 0.3349
Al 0.5340 0.4865 0.8349
Al 0.9660 0.5135 0.3349
Al 0.9660 0.9865 0.8349
H 0.1616 0.1848 0.3844
H 0.1616 0.3152 0.8844
H 0.1681 0.1913 0.6919
H 0.1681 0.3087 0.1919
H 0.1780 0.6087 0.9588
H 0.1780 0.8913 0.4588
H 0.3220 0.1087 0.9588
H 0.3220 0.3913 0.4588
H 0.3319 0.6913 0.6919
H 0.3319 0.8087 0.1919
H 0.3384 0.6848 0.3844
H 0.3384 0.8152 0.8844
H 0.6616 0.1848 0.1156
H 0.6616 0.3152 0.6156
H 0.6681 0.1913 0.8081
H 0.6681 0.3087 0.3081
H 0.6780 0.6087 0.5412
H 0.6780 0.8913 0.0412
H 0.8220 0.1087 0.5412
H 0.8220 0.3913 0.0412
H 0.8319 0.6913 0.8081
H 0.8319 0.8087 0.3081
H 0.8384 0.6848 0.1156
H 0.8384 0.8152 0.6156
O 0.1329 0.1102 0.9824
O 0.1329 0.3898 0.4824
O 0.1412 0.0900 0.6716
O 0.1412 0.4100 0.1716
O 0.2345 0.1289 0.3008
O 0.2345 0.3711 0.8008
O 0.2655 0.6289 0.3008
O 0.2655 0.8711 0.8008
O 0.3588 0.5900 0.6716
O 0.3588 0.9100 0.1716
O 0.3671 0.6102 0.9824
O 0.3671 0.8898 0.4824
O 0.6329 0.1102 0.5176
O 0.6329 0.3898 0.0176
O 0.6412 0.0900 0.8284
O 0.6412 0.4100 0.3284
O 0.7345 0.1289 0.1992
O 0.7345 0.3711 0.6992
O 0.7655 0.6289 0.1992
O 0.7655 0.8711 0.6992
O 0.8588 0.5900 0.8284
O 0.8588 0.9100 0.3284
O 0.8671 0.6102 0.5176
O 0.8671 0.8898 0.0176

---

Record 3
Diffraction record for AlH3O3. The PXRD pattern is calculated, not measured: it uses the GGA-PBE geometry in Alexandria and CuKα.

Top 10 peaks for 2θ from 15° to 90°, in order of falling intensity:
2theta	intensity	index
19.3	100	1 0 0
40.9	60	1 1 -1
42.2	49	2 1 2
22.3	47	1 1 1
37.6	38	0 2 1
20.1	37	0 1 0
48.8	35	-1 2 1
20.6	31	0 0 1
23.8	18	1 0 1
64.1	16	1 3 3

a b c (Å): 5.1153 5.1170 5.1449
angles (deg): 61.21 66.37 70.13
Element x y z (fractional)
Al 0.0065 0.3312 0.3281
Al 0.9935 0.6688 0.6719
H 0.2528 0.9286 0.1244
H 0.3871 0.2029 0.6192
H 0.4266 0.5524 0.8286
H 0.5734 0.4476 0.1714
H 0.6129 0.7971 0.3808
H 0.7472 0.0714 0.8756
O 0.2175 0.5903 0.9276
O 0.2233 0.3460 0.5424
O 0.2339 0.9533 0.3082
O 0.7661 0.0467 0.6918
O 0.7767 0.6540 0.4576
O 0.7825 0.4097 0.0724